# Sm5BeTe4
Theoretical X-ray diffraction stick pattern, a wavelength of 1.5418 Å. Input: a DFT-relaxed cell (GGA-PBE, Alexandria).
Peak positions follow from Bragg's law for the DFT cell and can differ from measured ones.

Top 12 peaks for 2θ = 10–80°, by angle:
d 3.586, 24.8 deg, I 101; d 3.106, 28.7 deg, I 1000; d 2.896, 30.9 deg, I 49; d 2.494, 36.0 deg, I 63; d 2.196, 41.1 deg, I 723; d 1.873, 48.6 deg, I 32; d 1.793, 50.9 deg, I 237; d 1.562, 59.1 deg, I 46; d 1.553, 59.5 deg, I 108; d 1.489, 62.4 deg, I 34; d 1.389, 67.4 deg, I 285; d 1.268, 74.9 deg, I 195

Structure:
Cell lengths 7.607, 7.607, 7.607 Å; angles 99.60, 99.60, 131.79 degrees
Fractional positions:
Sm 0.000 0.000 0.000
Sm 0.226 0.596 0.821
Sm 0.406 0.226 0.631
Sm 0.596 0.775 0.369
Sm 0.775 0.406 0.179
Be 0.501 0.501 0.000
Te 0.091 0.307 0.396
Te 0.307 0.910 0.216
Te 0.695 0.091 0.784
Te 0.910 0.695 0.604